Record 1
Starting from DFT lattice parameters and positions (PBE), the X-ray powder pattern of Y6Si7Ni16 was calculated for copper Kα.
No peak broadening, texture or thermal motion is included.

Principal peaks in the range 10 to 80 degrees two-theta, most intense first:
- 2θ = 43.44°, intensity 100, (4 4 0)
- 2θ = 39.74°, intensity 92, (3 3 3)
- 2θ = 26.20°, intensity 26, (2 2 2)
- 2θ = 37.38°, intensity 22, (4 2 2)
- 2θ = 45.54°, intensity 21, (5 3 1)
- 2θ = 67.43°, intensity 19, (6 6 0)
- 2θ = 46.22°, intensity 17, (6 0 0)
- 2θ = 50.81°, intensity 14, (5 3 3)

Structural model:
abc: 11.7844 11.7844 11.7844
angles: 90.00 90.00 90.00
Space group Fm-3m (No. 225)
Symmetry-distinct sites (fractional):
Y 0.0000 0.0000 0.2099
Si 0.0000 0.0000 0.5000
Si 0.0000 0.2500 0.2500
Ni 0.1206 0.1206 0.3794
Ni 0.1722 0.1722 0.1722



Record 2
Starting from DFT lattice parameters and positions (PBE), the X-ray powder pattern of Y2Si3Ni2 was calculated for copper Kα.
No peak broadening, texture or thermal motion is included.

Principal peaks in the range 10 to 80 degrees two-theta, most intense first:
- 2θ = 36.66°, intensity 100, (1 5 1)
- 2θ = 35.34°, intensity 96, (1 1 2)
- 2θ = 46.29°, intensity 45, (0 4 3)
- 2θ = 44.34°, intensity 44, (2 0 0)
- 2θ = 33.94°, intensity 36, (0 6 1)
- 2θ = 66.03°, intensity 29, (2 4 3)
- 2θ = 38.38°, intensity 28, (1 3 2)
- 2θ = 10.23°, intensity 27, (0 2 0)

Structural model:
abc: 4.0863 17.2954 6.6016
angles: 90.00 90.00 90.00
Space group Cmcm (No. 63)
Symmetry-distinct sites (fractional):
Y 0.0000 0.0529 0.2500
Y 0.0000 0.1580 0.7500
Si 0.0000 0.2236 0.2500
Si 0.0000 0.4361 0.0667
Ni 0.0000 0.3056 0.5544



Record 3
Starting from DFT lattice parameters and positions (PBE), the X-ray powder pattern of YSi2Ni9 was calculated for copper Kα.
No peak broadening, texture or thermal motion is included.

Principal peaks in the range 10 to 80 degrees two-theta, most intense first:
- 2θ = 41.31°, intensity 100, (4 2 0)
- 2θ = 48.84°, intensity 39, (5 0 1)
- 2θ = 45.06°, intensity 15, (1 0 3)
- 2θ = 75.29°, intensity 14, (5 5 2)
- 2θ = 51.20°, intensity 14, (4 2 2)
- 2θ = 47.45°, intensity 13, (4 0 2)
- 2θ = 36.17°, intensity 11, (3 2 1)
- 2θ = 48.95°, intensity 9, (2 1 3)

Structural model:
abc: 9.7823 9.7823 6.1677
angles: 90.00 90.00 90.00
Space group I4_1/amd (No. 141, origin choice 2)
Symmetry-distinct sites (fractional):
Y 0.0000 0.2500 0.3750
Si 0.0000 0.0000 0.0000
Ni 0.0000 0.2500 0.8750
Ni 0.1239 0.0474 0.6856



Record 4
Starting from DFT lattice parameters and positions (PBE), the X-ray powder pattern of YSi2Ni was calculated for copper Kα.
No peak broadening, texture or thermal motion is included.

Principal peaks in the range 10 to 80 degrees two-theta, most intense first:
- 2θ = 35.79°, intensity 100, (1 3 1)
- 2θ = 32.20°, intensity 83, (1 1 1)
- 2θ = 35.27°, intensity 83, (1 5 0)
- 2θ = 45.24°, intensity 41, (2 0 0)
- 2θ = 45.72°, intensity 40, (0 0 2)
- 2θ = 39.94°, intensity 38, (0 6 1)
- 2θ = 31.31°, intensity 36, (0 4 1)
- 2θ = 59.03°, intensity 35, (1 5 2)

Structural model:
abc: 4.0092 16.4639 3.9688
angles: 90.00 90.00 90.00
Space group Cmcm (No. 63)
Symmetry-distinct sites (fractional):
Y 0.0000 0.1048 0.2500
Si 0.0000 0.2501 0.7500
Si 0.0000 0.4596 0.2500
Ni 0.0000 0.3221 0.2500



Record 5
Starting from DFT lattice parameters and positions (PBE), the X-ray powder pattern of YSi2Ni6 was calculated for copper Kα.
No peak broadening, texture or thermal motion is included.

Principal peaks in the range 10 to 80 degrees two-theta, most intense first:
- 2θ = 40.02°, intensity 100, (1 1 2)
- 2θ = 46.21°, intensity 60, (2 0 0)
- 2θ = 48.28°, intensity 37, (1 1 3)
- 2θ = 11.49°, intensity 31, (0 0 1)
- 2θ = 67.42°, intensity 18, (2 2 0)
- 2θ = 32.56°, intensity 15, (1 0 2)
- 2θ = 42.05°, intensity 12, (1 0 3)
- 2θ = 25.45°, intensity 8, (1 0 1)

Structural model:
abc: 3.9289 3.9289 7.6994
angles: 90.00 90.00 90.00
Space group P4/mmm (No. 123)
Symmetry-distinct sites (fractional):
Y 0.0000 0.0000 0.0000
Si 0.5000 0.5000 0.1600
Ni 0.0000 0.0000 0.5000
Ni 0.0000 0.5000 0.3055
Ni 0.5000 0.5000 0.5000



Record 6
Starting from DFT lattice parameters and positions (PBE), the X-ray powder pattern of ZnSi2Ni8 was calculated for copper Kα.
No peak broadening, texture or thermal motion is included.

Principal peaks in the range 10 to 80 degrees two-theta, most intense first:
- 2θ = 45.54°, intensity 100, (1 2 3)
- 2θ = 49.23°, intensity 24, (2 0 0)
- 2θ = 44.00°, intensity 20, (1 1 4)
- 2θ = 50.82°, intensity 18, (0 0 6)
- 2θ = 44.11°, intensity 15, (0 3 1)
- 2θ = 32.63°, intensity 14, (1 1 2)
- 2θ = 73.46°, intensity 11, (2 0 6)
- 2θ = 68.22°, intensity 8, (2 3 1)

Structural model:
abc: 3.7014 6.2744 10.7796
angles: 90.00 90.00 90.00
Space group Immm (No. 71)
Symmetry-distinct sites (fractional):
Zn 0.0000 0.0000 0.0000
Si 0.0000 0.0000 0.3096
Ni 0.0000 0.1968 0.5000
Ni 0.0000 0.2803 0.1617
Ni 0.0000 0.5000 0.3489



Record 7
Starting from DFT lattice parameters and positions (PBE), the X-ray powder pattern of ZnSi2Ni9 was calculated for copper Kα.
No peak broadening, texture or thermal motion is included.

Principal peaks in the range 10 to 80 degrees two-theta, most intense first:
- 2θ = 44.45°, intensity 100, (1 1 3)
- 2θ = 51.75°, intensity 31, (2 0 0)
- 2θ = 76.33°, intensity 18, (2 0 6)
- 2θ = 51.89°, intensity 15, (0 0 6)
- 2θ = 76.21°, intensity 9, (2 2 0)
- 2θ = 25.23°, intensity 3, (1 0 0)
- 2θ = 35.98°, intensity 2, (1 1 0)
- 2θ = 26.60°, intensity 2, (1 0 1)

Structural model:
abc: 3.5333 3.5333 10.5727
angles: 90.00 90.00 90.00
Space group P4/mmm (No. 123)
Symmetry-distinct sites (fractional):
Zn 0.0000 0.0000 0.0000
Si 0.0000 0.0000 0.3327
Ni 0.0000 0.5000 0.1740
Ni 0.0000 0.5000 0.5000
Ni 0.5000 0.5000 0.0000
Ni 0.5000 0.5000 0.3374



Record 8
Starting from DFT lattice parameters and positions (PBE), the X-ray powder pattern of ZnSiNi6 was calculated for copper Kα.
No peak broadening, texture or thermal motion is included.

Principal peaks in the range 10 to 80 degrees two-theta, most intense first:
- 2θ = 44.29°, intensity 100, (2 4 0)
- 2θ = 51.61°, intensity 46, (0 4 4)
- 2θ = 75.98°, intensity 22, (0 8 0)
- 2θ = 76.07°, intensity 4, (0 0 8)
- 2θ = 25.14°, intensity 1, (0 2 2)
- 2θ = 39.19°, intensity 1, (3 1 0)
- 2θ = 35.85°, intensity 1, (0 4 0)
- 2θ = 32.22°, intensity 1, (0 2 3)

Structural model:
abc: 7.0916 10.0162 10.0097
angles: 90.00 90.00 90.00
Space group Cmmm (No. 65)
Symmetry-distinct sites (fractional):
Zn 0.0000 0.0000 0.2492
Zn 0.0000 0.2450 0.0000
Si 0.0000 0.2444 0.5000
Si 0.0000 0.5000 0.2483
Ni 0.0000 0.0000 0.0000
Ni 0.0000 0.0000 0.5000
Ni 0.0000 0.2511 0.2565
Ni 0.0000 0.5000 0.0000
Ni 0.0000 0.5000 0.5000
Ni 0.2431 0.3757 0.1281
Ni 0.2442 0.3743 0.3778



Record 9
Starting from DFT lattice parameters and positions (PBE), the X-ray powder pattern of Zn2SiNi5 was calculated for copper Kα.
No peak broadening, texture or thermal motion is included.

Principal peaks in the range 10 to 80 degrees two-theta, most intense first:
- 2θ = 43.96°, intensity 100, (1 1 4)
- 2θ = 48.90°, intensity 37, (2 0 0)
- 2θ = 77.18°, intensity 16, (2 0 8)
- 2θ = 55.63°, intensity 12, (0 0 8)
- 2θ = 71.66°, intensity 11, (2 2 0)
- 2θ = 36.73°, intensity 4, (1 1 2)
- 2θ = 24.83°, intensity 3, (1 0 1)
- 2θ = 40.97°, intensity 2, (0 0 6)

Structural model:
abc: 3.7249 3.7249 13.2166
angles: 90.00 90.00 90.00
Space group I4/mmm (No. 139)
Symmetry-distinct sites (fractional):
Zn 0.0000 0.0000 0.2470
Si 0.0000 0.0000 0.5000
Ni 0.0000 0.0000 0.0000
Ni 0.0000 0.5000 0.1177



Record 10
Starting from DFT lattice parameters and positions (PBE), the X-ray powder pattern of ZnSi3Ni10 was calculated for copper Kα.
No peak broadening, texture or thermal motion is included.

Principal peaks in the range 10 to 80 degrees two-theta, most intense first:
- 2θ = 42.18°, intensity 100, (3 3 3)
- 2θ = 48.37°, intensity 49, (5 3 1)
- 2θ = 46.12°, intensity 35, (4 4 0)
- 2θ = 36.08°, intensity 28, (4 2 0)
- 2θ = 54.69°, intensity 23, (6 2 2)
- 2θ = 71.97°, intensity 20, (6 6 0)
- 2θ = 39.66°, intensity 19, (4 2 2)
- 2θ = 49.10°, intensity 16, (6 0 0)

Structural model:
abc: 11.1333 11.1333 11.1333
angles: 90.00 90.00 90.00
Space group Fm-3m (No. 225)
Symmetry-distinct sites (fractional):
Zn 0.2500 0.2500 0.2500
Si 0.0000 0.0000 0.2258
Ni 0.0000 0.1723 0.3277
Ni 0.1240 0.1240 0.1240



Record 11
Starting from DFT lattice parameters and positions (PBE), the X-ray powder pattern of ZrSiNi3 was calculated for copper Kα.
No peak broadening, texture or thermal motion is included.

Principal peaks in the range 10 to 80 degrees two-theta, most intense first:
- 2θ = 46.28°, intensity 100, (2 2 0)
- 2θ = 43.56°, intensity 72, (0 0 4)
- 2θ = 34.04°, intensity 65, (0 2 2)
- 2θ = 41.22°, intensity 37, (0 3 1)
- 2θ = 37.50°, intensity 28, (1 0 3)
- 2θ = 41.32°, intensity 27, (2 1 1)
- 2θ = 73.86°, intensity 22, (0 2 6)
- 2θ = 65.43°, intensity 19, (2 2 4)

Structural model:
abc: 4.8026 6.8114 8.3043
angles: 90.00 90.00 90.00
Space group Imma (No. 74)
Symmetry-distinct sites (fractional):
Zr 0.0000 0.2500 0.0056
Si 0.0000 0.0000 0.5000
Ni 0.0000 0.2500 0.3238
Ni 0.2500 0.0576 0.7500